Computed XRD peak list
Compound: BaSrMg14O16
Radiation: Cu Ka
Structure: the GGA-PBE geometry in the Materials Project
Kinematic intensities with the Lorentz-polarization factor, no thermal factor.

Most intense lines, 15 to 90 degrees two-theta, low angle first:
24.02°, intensity 32; 34.66°, intensity 47; 39.22°, intensity 58; 40.74°, intensity 100; 57.83°, intensity 64; 58.97°, intensity 29

a = 8.860 Å, b = 8.860 Å, c = 4.594 Å
α = 90.00°, β = 90.00°, γ = 90.00°
Positions (direct):
1 Ba 0.000 0.000 0.000
2 Sr 0.500 0.500 0.000
3 Mg 0.000 0.263 0.500
4 Mg 0.000 0.500 0.000
5 Mg 0.000 0.737 0.500
6 Mg 0.241 0.500 0.500
7 Mg 0.252 0.252 0.000
8 Mg 0.252 0.748 0.000
9 Mg 0.263 0.000 0.500
10 Mg 0.500 0.000 0.000
11 Mg 0.500 0.241 0.500
12 Mg 0.500 0.759 0.500
13 Mg 0.737 0.000 0.500
14 Mg 0.748 0.252 0.000
15 Mg 0.748 0.748 0.000
16 Mg 0.759 0.500 0.500
17 O 0.000 0.000 0.500
18 O 0.000 0.278 0.000
19 O 0.000 0.500 0.500
20 O 0.000 0.722 0.000
21 O 0.233 0.500 0.000
22 O 0.250 0.250 0.500
23 O 0.250 0.750 0.500
24 O 0.278 0.000 0.000
25 O 0.500 0.000 0.500
26 O 0.500 0.233 0.000
27 O 0.500 0.500 0.500
28 O 0.500 0.767 0.000
29 O 0.722 0.000 0.000
30 O 0.750 0.250 0.500
31 O 0.750 0.750 0.500
32 O 0.767 0.500 0.000

***

Computed XRD peak list
Compound: BaSrMg14O16
Radiation: Cu Ka
Structure: the GGA-PBE geometry in the Materials Project
Kinematic intensities with the Lorentz-polarization factor, no thermal factor.

Most intense lines, 15 to 90 degrees two-theta, low angle first:
21.92°, intensity 32; 34.46°, intensity 41; 39.42°, intensity 100; 41.14°, intensity 42; 56.98°, intensity 30; 58.29°, intensity 53

a = 4.576 Å, b = 8.776 Å, c = 9.133 Å
α = 90.00°, β = 90.00°, γ = 90.00°
Positions (direct):
1 Ba 0.000 0.000 0.000
2 Sr 0.000 0.000 0.500
3 Mg 0.000 0.263 0.253
4 Mg 0.000 0.263 0.747
5 Mg 0.000 0.500 0.000
6 Mg 0.000 0.500 0.500
7 Mg 0.000 0.737 0.253
8 Mg 0.000 0.737 0.747
9 Mg 0.500 0.000 0.255
10 Mg 0.500 0.000 0.745
11 Mg 0.500 0.261 0.500
12 Mg 0.500 0.265 0.000
13 Mg 0.500 0.500 0.251
14 Mg 0.500 0.500 0.749
15 Mg 0.500 0.735 0.000
16 Mg 0.500 0.739 0.500
17 O 0.000 0.000 0.259
18 O 0.000 0.000 0.741
19 O 0.000 0.274 0.500
20 O 0.000 0.282 0.000
21 O 0.000 0.500 0.253
22 O 0.000 0.500 0.747
23 O 0.000 0.718 0.000
24 O 0.000 0.726 0.500
25 O 0.500 0.000 0.000
26 O 0.500 0.000 0.500
27 O 0.500 0.252 0.250
28 O 0.500 0.252 0.750
29 O 0.500 0.500 0.000
30 O 0.500 0.500 0.500
31 O 0.500 0.748 0.250
32 O 0.500 0.748 0.750

***

Computed XRD peak list
Compound: Ba4MgTa10O30
Radiation: Cu Ka
Structure: the GGA-PBE geometry in the Materials Project
Kinematic intensities with the Lorentz-polarization factor, no thermal factor.

Most intense lines, 15 to 90 degrees two-theta, low angle first:
22.45°, intensity 65; 26.45°, intensity 100; 29.06°, intensity 84; 29.87°, intensity 84; 45.82°, intensity 57; 53.00°, intensity 55

a = 10.038 Å, b = 10.038 Å, c = 10.038 Å
α = 133.53°, β = 117.82°, γ = 81.06°
Positions (direct):
1 Ba 0.000 0.000 0.000
2 Ba 0.399 0.399 0.000
3 Ba 0.409 0.909 0.500
4 Ba 0.998 0.498 0.500
5 Mg 0.676 0.176 0.500
6 Ta 0.007 0.075 0.432
7 Ta 0.007 0.575 0.932
8 Ta 0.203 0.452 0.249
9 Ta 0.203 0.953 0.751
10 Ta 0.386 0.325 0.567
11 Ta 0.386 0.820 0.061
12 Ta 0.643 0.075 0.068
13 Ta 0.643 0.575 0.568
14 Ta 0.758 0.325 0.939
15 Ta 0.758 0.820 0.433
16 O 0.005 0.827 0.179
17 O 0.023 0.346 0.677
18 O 0.167 0.048 0.619
19 O 0.167 0.548 0.119
20 O 0.198 0.698 0.500
21 O 0.206 0.194 0.492
22 O 0.206 0.206 0.000
23 O 0.206 0.714 0.012
24 O 0.239 0.347 0.370
25 O 0.239 0.868 0.891
26 O 0.390 0.579 0.810
27 O 0.423 0.071 0.352
28 O 0.429 0.048 0.881
29 O 0.429 0.548 0.381
30 O 0.533 0.305 0.772
31 O 0.533 0.762 0.228
32 O 0.570 0.417 0.580
33 O 0.570 0.990 0.154
34 O 0.648 0.827 0.821
35 O 0.669 0.346 0.323
36 O 0.702 0.194 0.988
37 O 0.702 0.714 0.508
38 O 0.719 0.071 0.648
39 O 0.769 0.579 0.190
40 O 0.836 0.417 0.846
41 O 0.836 0.990 0.420
42 O 0.874 0.119 0.246
43 O 0.874 0.628 0.754
44 O 0.977 0.347 0.109
45 O 0.977 0.868 0.630

***

Computed XRD peak list
Compound: BaMg6TiO8
Radiation: Cu Ka
Structure: the GGA-PBE geometry in the Materials Project
Kinematic intensities with the Lorentz-polarization factor, no thermal factor.

Most intense lines, 15 to 90 degrees two-theta, low angle first:
18.87°, intensity 46; 27.61°, intensity 38; 33.65°, intensity 53; 38.29°, intensity 100; 40.56°, intensity 39; 57.00°, intensity 52

a = 4.702 Å, b = 4.702 Å, c = 8.897 Å
α = 90.00°, β = 90.00°, γ = 90.00°
Positions (direct):
1 Ba 0.000 0.000 0.000
2 Mg 0.000 0.500 0.263
3 Mg 0.000 0.500 0.737
4 Mg 0.500 0.000 0.263
5 Mg 0.500 0.000 0.737
6 Mg 0.500 0.500 0.000
7 Mg 0.500 0.500 0.500
8 Ti 0.000 0.000 0.500
9 O 0.000 0.000 0.282
10 O 0.000 0.000 0.718
11 O 0.000 0.500 0.000
12 O 0.000 0.500 0.500
13 O 0.500 0.000 0.000
14 O 0.500 0.000 0.500
15 O 0.500 0.500 0.253
16 O 0.500 0.500 0.747